Structure and computed powder XRD pattern of Li2GeF6 (a cell relaxed with GGA-PBE; Cu Kα).
Peak positions follow from Bragg's law for the DFT cell and can differ from measured ones.

Top 6 peaks for 2θ = 5–70°, by angle:
index  d_spacing  2theta  I (rel.)
1 1 0  4.281  20.75  100
0 1 1  3.967  22.41  83
2 0 1  2.910  30.73  31
1 2 1  2.407  37.37  25
3 0 1  2.187  41.28  44
3 0 2  1.702  53.86  37

abc: 8.5626 8.5626 4.6947
angles: 90.00 90.00 120.00
Space group P321 (No. 150)
Inequivalent atoms, fractional coordinates:
Li 0.0000 0.3666 0.0000 [3 per cell]
Li 0.0000 0.7019 0.5000 [3 per cell]
Ge 0.0000 0.0000 0.0000 [1 per cell]
Ge 0.3333 0.6667 0.4877 [2 per cell]
F 0.0960 0.2042 0.2189 [6 per cell]
F 0.1299 0.5795 0.2671 [6 per cell]
F 0.2242 0.4623 0.7077 [6 per cell]